For Sc3Si3Ir, a DFT-relaxed cell (PBE, the Materials Project) gives the simulated powder XRD pattern in this record (Cu Kα).

The 10 most intense peaks (2θ = 15–90°), low angle first:
2θ (°)  d (Å)  I/Imax  hkl
15.20  5.827  25  2 0 0
19.00  4.671  54  1 0 2
24.52  3.630  22  3 0 1
24.86  3.582  35  1 1 1
26.81  3.326  28  2 1 0
35.32  2.541  29  1 1 3
36.58  2.457  100  3 1 2
37.85  2.377  22  2 1 3
40.79  2.212  24  4 0 3
44.78  2.024  55  0 2 0

Cell and atoms:
```
data_Sc3Si3Ir
_chemical_formula_sum 'Sc12 Si12 Ir4'
_cell_length_a 11.6546
_cell_length_b 4.0497
_cell_length_c 10.1972
_cell_angle_alpha 90.00
_cell_angle_beta 90.00
_cell_angle_gamma 90.00
_space_group_name_H-M_alt 'P n m a'
_space_group_IT_number 62
loop_
_space_group_symop_operation_xyz
'x,y,z'
'-x,-y,-z'
'-x+1/2,-y,z+1/2'
'x+1/2,y,-z+1/2'
'x+1/2,-y+1/2,-z+1/2'
'-x+1/2,y+1/2,z+1/2'
'-x,y+1/2,-z'
'x,-y+1/2,z'
loop_
_atom_site_label
_atom_site_type_symbol
_atom_site_fract_x
_atom_site_fract_y
_atom_site_fract_z
Sc1 Sc 0.0198 0.2500 0.1229
Sc2 Sc 0.1021 0.2500 0.4199
Sc3 Sc 0.2005 0.7500 0.6588
Si1 Si 0.0454 0.2500 0.6927
Si2 Si 0.1578 0.7500 0.2492
Si3 Si 0.1784 0.7500 0.0138
Ir1 Ir 0.1765 0.2500 0.8894
```